Entry 1:
The following is a calculated powder diffraction line list of KMgF. It was derived from a DFT-relaxed cell (PBE, Alexandria), using Cu Kα (weighted mean of Kα1 and Kα2).
Intensities are scaled so that the largest is 1000.

Top 10 peaks for 10° ≤ 2θ ≤ 90°, by angle:
2θ 14.72, intensity 392; 2θ 29.24, intensity 1000; 2θ 29.68, intensity 234; 2θ 35.82, intensity 593; 2θ 38.92, intensity 113; 2θ 47.19, intensity 234; 2θ 51.56, intensity 184; 2θ 52.40, intensity 347; 2θ 60.38, intensity 217; 2θ 76.60, intensity 191

Cell and atoms:
Cell: 3.5448 3.5448 6.0198 Å, 90.00 90.00 90.00°
Positions (direct):
K  0.0000  0.0000  0.0000
Mg  0.5000  0.5000  0.5059
F  0.5000  0.5000  0.8337

=====

Entry 2:
The following is a calculated powder diffraction line list of AcAl2Ag8. It was derived from a DFT-relaxed cell (PBE, Alexandria), using Cu Kα (weighted mean of Kα1 and Kα2).
Intensities are scaled so that the largest is 1000.

Top 10 peaks for 10° ≤ 2θ ≤ 90°, by angle:
2θ 18.70, intensity 279; 2θ 20.14, intensity 279; 2θ 24.53, intensity 223; 2θ 30.42, intensity 318; 2θ 31.79, intensity 304; 2θ 33.41, intensity 243; 2θ 37.92, intensity 1000; 2θ 45.57, intensity 383; 2θ 62.11, intensity 239; 2θ 79.12, intensity 231

Cell and atoms:
Cell: 5.6300 5.6300 8.8167 Å, 90.00 90.00 90.00°
Positions (direct):
Ac  0.0000  0.0000  0.0000
Al  0.0000  0.5000  0.5000
Al  0.5000  0.0000  0.5000
Ag  0.2529  0.2529  0.2964
Ag  0.2529  0.2529  0.7036
Ag  0.2529  0.7471  0.2964
Ag  0.2529  0.7471  0.7036
Ag  0.7471  0.2529  0.2964
Ag  0.7471  0.2529  0.7036
Ag  0.7471  0.7471  0.2964
Ag  0.7471  0.7471  0.7036

=====

Entry 3:
The following is a calculated powder diffraction line list of Nd2PuS4. It was derived from a DFT-relaxed cell (PBE, Alexandria), using Cu Kα (weighted mean of Kα1 and Kα2).
Intensities are scaled so that the largest is 1000.

Top 10 peaks for 10° ≤ 2θ ≤ 90°, by angle:
2θ 13.34, intensity 991; 2θ 25.71, intensity 374; 2θ 25.96, intensity 210; 2θ 26.88, intensity 500; 2θ 27.00, intensity 488; 2θ 31.03, intensity 1000; 2θ 31.55, intensity 482; 2θ 44.84, intensity 713; 2θ 46.77, intensity 191; 2θ 73.73, intensity 241

Cell and atoms:
Cell: 6.9925 6.9925 4.0627 Å, 90.00 90.00 108.40°
Positions (direct):
Nd  0.0000  0.5000  0.0000
Nd  0.5000  0.0000  0.0000
Pu  0.0000  0.0000  0.5000
S  0.2283  0.2283  0.0000
S  0.2483  0.7517  0.5000
S  0.7517  0.2483  0.5000
S  0.7717  0.7717  0.0000

=====

Entry 4:
The following is a calculated powder diffraction line list of Al3Ag4. It was derived from a DFT-relaxed cell (PBE, Alexandria), using Cu Kα (weighted mean of Kα1 and Kα2).
Intensities are scaled so that the largest is 1000.

Top 10 peaks for 10° ≤ 2θ ≤ 90°, by angle:
2θ 17.61, intensity 322; 2θ 27.69, intensity 326; 2θ 30.93, intensity 245; 2θ 37.25, intensity 1000; 2θ 39.80, intensity 785; 2θ 42.22, intensity 660; 2θ 49.65, intensity 212; 2θ 67.16, intensity 313; 2θ 72.25, intensity 251; 2θ 77.18, intensity 179

Cell and atoms:
Cell: 10.3622 10.3622 10.3622 Å, 162.22 159.58 27.20°
Positions (direct):
Al  0.0000  0.0000  0.0000
Al  0.2880  0.2880  0.0000
Al  0.7120  0.7120  0.0000
Ag  0.1506  0.1506  0.0000
Ag  0.4290  0.4290  0.0000
Ag  0.5710  0.5710  0.0000
Ag  0.8494  0.8494  0.0000

=====

Entry 5:
The following is a calculated powder diffraction line list of Er2MgSi3Ir4. It was derived from a DFT-relaxed cell (PBE, Alexandria), using Cu Kα (weighted mean of Kα1 and Kα2).
Intensities are scaled so that the largest is 1000.

Top 10 peaks for 10° ≤ 2θ ≤ 90°, by angle:
2θ 25.74, intensity 263; 2θ 27.85, intensity 284; 2θ 32.28, intensity 421; 2θ 34.00, intensity 379; 2θ 35.67, intensity 1000; 2θ 44.52, intensity 515; 2θ 49.26, intensity 293; 2θ 57.18, intensity 172; 2θ 68.55, intensity 219; 2θ 76.21, intensity 224

Cell and atoms:
Cell: 4.0700 4.0700 10.3846 Å, 90.00 90.00 90.00°
Positions (direct):
Er  0.0000  0.5000  0.2424
Er  0.5000  0.0000  0.7576
Mg  0.0000  0.0000  0.5000
Si  0.0000  0.5000  0.8743
Si  0.5000  0.0000  0.1257
Si  0.5000  0.5000  0.5000
Ir  0.0000  0.0000  0.0000
Ir  0.0000  0.5000  0.6475
Ir  0.5000  0.0000  0.3525
Ir  0.5000  0.5000  0.0000

=====

Entry 6:
The following is a calculated powder diffraction line list of Ce9AlIn2. It was derived from a DFT-relaxed cell (PBE, Alexandria), using Cu Kα (weighted mean of Kα1 and Kα2).
Intensities are scaled so that the largest is 1000.

Top 10 peaks for 10° ≤ 2θ ≤ 90°, by angle:
2θ 18.63, intensity 31; 2θ 26.47, intensity 27; 2θ 32.57, intensity 1000; 2θ 37.78, intensity 499; 2θ 42.44, intensity 15; 2θ 54.50, intensity 340; 2θ 64.95, intensity 395; 2θ 68.22, intensity 113; 2θ 80.71, intensity 53; 2θ 89.76, intensity 167

Cell and atoms:
Cell: 4.7615 4.7615 14.2905 Å, 90.00 90.00 90.00°
Positions (direct):
Ce  0.0000  0.0000  0.0000
Ce  0.0000  0.0000  0.3291
Ce  0.0000  0.0000  0.6709
Ce  0.0000  0.5000  0.1597
Ce  0.0000  0.5000  0.5000
Ce  0.0000  0.5000  0.8403
Ce  0.5000  0.0000  0.1597
Ce  0.5000  0.0000  0.5000
Ce  0.5000  0.0000  0.8403
Al  0.5000  0.5000  0.0000
In  0.5000  0.5000  0.3305
In  0.5000  0.5000  0.6695

=====

Entry 7:
The following is a calculated powder diffraction line list of Y8Ho4Tm. It was derived from a DFT-relaxed cell (PBE, Alexandria), using Cu Kα (weighted mean of Kα1 and Kα2).
Intensities are scaled so that the largest is 1000.

Top 10 peaks for 10° ≤ 2θ ≤ 90°, by angle:
2θ 28.58, intensity 210; 2θ 29.12, intensity 245; 2θ 31.27, intensity 1000; 2θ 32.79, intensity 356; 2θ 38.76, intensity 364; 2θ 50.28, intensity 288; 2θ 51.98, intensity 126; 2θ 59.16, intensity 172; 2θ 60.41, intensity 169; 2θ 82.36, intensity 177

Cell and atoms:
Cell: 10.1081 10.1081 10.1081 Å, 42.08 42.08 42.08°
Positions (direct):
Y  0.2026  0.7495  0.7495
Y  0.2145  0.2145  0.2145
Y  0.2505  0.2505  0.7974
Y  0.2505  0.7974  0.2505
Y  0.7495  0.2026  0.7495
Y  0.7495  0.7495  0.2026
Y  0.7855  0.7855  0.7855
Y  0.7974  0.2505  0.2505
Ho  0.0000  0.0000  0.0000
Ho  0.0000  0.5000  0.5000
Ho  0.5000  0.0000  0.5000
Ho  0.5000  0.5000  0.0000
Tm  0.5000  0.5000  0.5000

=====

Entry 8:
The following is a calculated powder diffraction line list of Th6PaN8. It was derived from a DFT-relaxed cell (PBE, Alexandria), using Cu Kα (weighted mean of Kα1 and Kα2).
Intensities are scaled so that the largest is 1000.

Top 10 peaks for 10° ≤ 2θ ≤ 90°, by angle:
2θ 14.93, intensity 143; 2θ 28.81, intensity 78; 2θ 30.12, intensity 1000; 2θ 34.91, intensity 674; 2θ 50.21, intensity 482; 2θ 59.67, intensity 478; 2θ 62.61, intensity 165; 2θ 73.74, intensity 77; 2θ 81.66, intensity 205; 2θ 84.26, intensity 220

Cell and atoms:
Cell: 7.2684 7.2684 7.2684 Å, 60.00 60.00 60.00°
Positions (direct):
Th  0.0000  0.0000  0.5000
Th  0.0000  0.5000  0.0000
Th  0.0000  0.5000  0.5000
Th  0.5000  0.0000  0.0000
Th  0.5000  0.0000  0.5000
Th  0.5000  0.5000  0.0000
Pa  0.0000  0.0000  0.0000
N  0.2254  0.2254  0.7746
N  0.2254  0.7746  0.2254
N  0.2254  0.7746  0.7746
N  0.2500  0.2500  0.2500
N  0.7500  0.7500  0.7500
N  0.7746  0.2254  0.2254
N  0.7746  0.2254  0.7746
N  0.7746  0.7746  0.2254

=====

Entry 9:
The following is a calculated powder diffraction line list of ThSc2Fe. It was derived from a DFT-relaxed cell (PBE, Alexandria), using Cu Kα (weighted mean of Kα1 and Kα2).
Intensities are scaled so that the largest is 1000.

Top 10 peaks for 10° ≤ 2θ ≤ 90°, by angle:
2θ 18.55, intensity 675; 2θ 19.88, intensity 659; 2θ 26.12, intensity 255; 2θ 33.04, intensity 751; 2θ 33.19, intensity 337; 2θ 34.02, intensity 517; 2θ 36.01, intensity 1000; 2θ 46.39, intensity 362; 2θ 48.73, intensity 238; 2θ 63.17, intensity 205

Cell and atoms:
Cell: 5.9392 5.9392 8.9328 Å, 90.00 90.00 144.94°
Positions (direct):
Th  0.0762  0.9238  0.7500
Th  0.9238  0.0762  0.2500
Sc  0.3515  0.6485  0.5736
Sc  0.3515  0.6485  0.9264
Sc  0.6485  0.3515  0.0736
Sc  0.6485  0.3515  0.4264
Fe  0.2615  0.7385  0.2500
Fe  0.7385  0.2615  0.7500

=====

Entry 10:
The following is a calculated powder diffraction line list of ScCo2OsRh. It was derived from a DFT-relaxed cell (PBE, Alexandria), using Cu Kα (weighted mean of Kα1 and Kα2).
Intensities are scaled so that the largest is 1000.

Top 10 peaks for 10° ≤ 2θ ≤ 90°, by angle:
2θ 20.88, intensity 214; 2θ 29.70, intensity 260; 2θ 35.52, intensity 1000; 2θ 38.62, intensity 304; 2θ 42.50, intensity 462; 2θ 58.76, intensity 345; 2θ 61.67, intensity 148; 2θ 67.88, intensity 148; 2θ 73.23, intensity 236; 2θ 75.18, intensity 163

Cell and atoms:
Cell: 4.2542 4.2542 4.6622 Å, 90.00 90.00 90.00°
Positions (direct):
Sc  0.0000  0.0000  0.0000
Co  0.0000  0.5000  0.0000
Co  0.5000  0.0000  0.0000
Os  0.0000  0.0000  0.5000
Rh  0.5000  0.5000  0.5000

=====

Entry 11:
The following is a calculated powder diffraction line list of Al3Ag5. It was derived from a DFT-relaxed cell (PBE, Alexandria), using Cu Kα (weighted mean of Kα1 and Kα2).
Intensities are scaled so that the largest is 1000.

Top 10 peaks for 10° ≤ 2θ ≤ 90°, by angle:
2θ 14.93, intensity 286; 2θ 31.49, intensity 278; 2θ 32.23, intensity 199; 2θ 38.13, intensity 513; 2θ 38.23, intensity 1000; 2θ 38.54, intensity 484; 2θ 43.02, intensity 730; 2θ 47.34, intensity 243; 2θ 65.60, intensity 173; 2θ 75.50, intensity 254

Cell and atoms:
Cell: 6.1183 6.1183 9.6578 Å, 126.01 126.01 28.18°
Positions (direct):
Al  0.0000  0.0000  0.0000
Al  0.1245  0.1245  0.3823
Al  0.8755  0.8755  0.6177
Ag  0.2654  0.2654  0.7529
Ag  0.3844  0.3844  0.1290
Ag  0.5000  0.5000  0.5000
Ag  0.6156  0.6156  0.8710
Ag  0.7346  0.7346  0.2471

=====

Entry 12:
The following is a calculated powder diffraction line list of PmCd7Hg12. It was derived from a DFT-relaxed cell (PBE, Alexandria), using Cu Kα (weighted mean of Kα1 and Kα2).
Intensities are scaled so that the largest is 1000.

Top 10 peaks for 10° ≤ 2θ ≤ 90°, by angle:
2θ 31.05, intensity 627; 2θ 32.43, intensity 749; 2θ 33.19, intensity 642; 2θ 33.63, intensity 1000; 2θ 33.78, intensity 529; 2θ 35.63, intensity 310; 2θ 37.94, intensity 398; 2θ 39.50, intensity 357; 2θ 46.20, intensity 308; 2θ 58.91, intensity 245

Cell and atoms:
Cell: 8.6440 8.6440 8.6440 Å, 108.60 108.60 108.60°
Positions (direct):
Pm  0.0000  0.0000  0.0000
Cd  0.0443  0.1372  0.6885
Cd  0.1372  0.6885  0.0443
Cd  0.3115  0.9557  0.8628
Cd  0.5000  0.5000  0.5000
Cd  0.6885  0.0443  0.1372
Cd  0.8628  0.3115  0.9557
Cd  0.9557  0.8628  0.3115
Hg  0.0949  0.2896  0.4027
Hg  0.1821  0.6736  0.4176
Hg  0.2896  0.4027  0.0949
Hg  0.3264  0.5824  0.8179
Hg  0.4027  0.0949  0.2896
Hg  0.4176  0.1821  0.6736
Hg  0.5824  0.8179  0.3264
Hg  0.5973  0.9051  0.7104
Hg  0.6736  0.4176  0.1821
Hg  0.7104  0.5973  0.9051
Hg  0.8179  0.3264  0.5824
Hg  0.9051  0.7104  0.5973

=====

Entry 13:
The following is a calculated powder diffraction line list of Ta4CrSb2. It was derived from a DFT-relaxed cell (PBE, Alexandria), using Cu Kα (weighted mean of Kα1 and Kα2).
Intensities are scaled so that the largest is 1000.

Top 10 peaks for 10° ≤ 2θ ≤ 90°, by angle:
2θ 12.36, intensity 281; 2θ 30.29, intensity 798; 2θ 37.44, intensity 1000; 2θ 37.67, intensity 351; 2θ 39.34, intensity 793; 2θ 55.61, intensity 455; 2θ 56.86, intensity 270; 2θ 65.78, intensity 182; 2θ 70.08, intensity 325; 2θ 70.23, intensity 225

Cell and atoms:
Cell: 7.8614 7.8614 7.8614 Å, 146.13 146.13 48.66°
Positions (direct):
Ta  0.0000  0.5000  0.5000
Ta  0.1608  0.1608  0.0000
Ta  0.5000  0.0000  0.5000
Ta  0.8392  0.8392  0.0000
Cr  0.0000  0.0000  0.0000
Sb  0.3593  0.3593  0.0000
Sb  0.6407  0.6407  0.0000

=====

Entry 14:
The following is a calculated powder diffraction line list of Pm7Pr2Tm3. It was derived from a DFT-relaxed cell (PBE, Alexandria), using Cu Kα (weighted mean of Kα1 and Kα2).
Intensities are scaled so that the largest is 1000.

Top 10 peaks for 10° ≤ 2θ ≤ 90°, by angle:
2θ 28.11, intensity 269; 2θ 30.07, intensity 247; 2θ 30.53, intensity 641; 2θ 30.73, intensity 1000; 2θ 30.93, intensity 340; 2θ 31.10, intensity 341; 2θ 31.73, intensity 315; 2θ 32.99, intensity 351; 2θ 34.01, intensity 312; 2θ 53.77, intensity 209

Cell and atoms:
Cell: 5.8760 3.6381 19.0912 Å, 90.00 93.96 90.00°
Positions (direct):
Pm  0.0000  0.0000  0.0000
Pm  0.1742  0.5000  0.1786
Pm  0.2587  0.5000  0.5360
Pm  0.3290  0.0000  0.8576
Pm  0.6710  0.0000  0.1424
Pm  0.7413  0.5000  0.4640
Pm  0.8258  0.5000  0.8214
Pr  0.2967  0.5000  0.7030
Pr  0.7033  0.5000  0.2970
Tm  0.2180  0.0000  0.3702
Tm  0.5000  0.5000  0.0000
Tm  0.7820  0.0000  0.6298